# Er3ScAl2
Computed PXRD pattern, copper Kα. Input: a DFT-relaxed cell (GGA-PBE, Alexandria).
Lines closer than 0.1° are merged.

Crystal structure
a b c (Å): 6.267 15.850 6.261
angles (deg): 90.00 90.00 90.00
Space group Ibam (No. 72)
Unique sites:
Er1 0.000 0.000 0.250 (multiplicity 4)
Er2 0.248 0.323 0.000 (multiplicity 8)
Sc1 0.000 0.500 0.250 (multiplicity 4)
Al1 0.241 0.370 0.500 (multiplicity 8)

Principal peaks in the range 2θ from 5° to 70°, in order of rising 2θ:
Position (°2θ)	I_rel
15.2	20
23.0	51
30.3	58
30.7	100
33.9	31
36.6	45
40.7	48
51.6	27
54.0	34
54.8	22
59.0	16
68.0	21